This entry pairs a crystal structure of NaAg2WF8 with its simulated powder diffraction line list. Radiation: Cu Ka. Structure: a cell relaxed with PBE+U.
Intensities are scaled so that the largest is 100.

Structural model:
Unit cell a=4.845 b=5.905 c=7.443 alpha=90.12 beta=90.05 gamma=94.74
Space group P-1 (No. 2)
Asymmetric unit:
Na: 0.000 0.000 0.000 [1 per cell]
Ag: 0.499 0.499 0.772 [2 per cell]
W: 0.000 0.000 0.500 [1 per cell]
F: 0.198 0.862 0.309 [2 per cell]
F: 0.198 0.862 0.691 [2 per cell]
F: 0.264 0.273 0.501 [2 per cell]
F: 0.301 0.284 0.001 [2 per cell]

Main lines, in order of falling intensity (2θ = 15–90°):
| Position (°2θ) | I/Imax | (hkl) |
| --- | --- | --- |
| 22.8 | 100 | 1 -1 0 |
| 30.3 | 91 | 1 0 -2 |
| 28.4 | 71 | 0 1 -2 |
| 24.8 | 69 | 1 1 0 |
| 19.2 | 59 | 0 1 -1 |
| 21.9 | 42 | 1 0 -1 |
| 42.3 | 38 | 1 -2 2 |
| 46.4 | 28 | 2 -1 2 |
| 48.5 | 25 | 2 1 2 |
| 54.7 | 17 | 1 -1 4 |
| 52.8 | 15 | 0 3 2 |
| 46.6 | 14 | 2 -2 0 |